This entry pairs a crystal structure of Pm16Dy7Y6 with its computed powder XRD pattern. Radiation: CuKα. Structure: a structure optimized by DFT (GGA-PBE).

Principal peaks in the range 15 to 90 degrees two-theta, in order of rising 2θ:
- (2 2 2), 4.604 Å, 2θ = 19.28°, I = 5
- (3 3 3), 3.069 Å, 2θ = 29.09°, I = 11
- (4 4 0), 2.820 Å, 2θ = 31.74°, I = 100
- (5 3 1), 2.696 Å, 2θ = 33.23°, I = 8
- (6 2 2), 2.404 Å, 2θ = 37.40°, I = 6
- (7 3 1), 2.076 Å, 2θ = 43.59°, I = 6
- (8 0 0), 1.994 Å, 2θ = 45.50°, I = 14
- (7 5 3), 1.751 Å, 2θ = 52.25°, I = 6
- (8 4 4), 1.628 Å, 2θ = 56.53°, I = 26
- (9 3 3), 1.603 Å, 2θ = 57.49°, I = 5
- (8 8 0), 1.410 Å, 2θ = 66.30°, I = 7
- (12 4 0), 1.261 Å, 2θ = 75.38°, I = 7

Structural model:
abc: 15.9495 15.9495 15.9495
angles: 90.00 90.00 90.00
Space group Fm-3m (No. 225)
Asymmetric unit:
Pm (0.1241, 0.1241, 0.1241) x32
Pm (0.1511, 0.1511, 0.3489) x32
Dy (0.0000, 0.0000, 0.0000) x4
Dy (0.0000, 0.2500, 0.2500) x24
Y (0.0000, 0.0000, 0.2716) x24

---

This entry pairs a crystal structure of Pm12Dy5In2 with its computed powder XRD pattern. Radiation: CuKα. Structure: a structure optimized by DFT (GGA-PBE).

Principal peaks in the range 15 to 90 degrees two-theta, in order of rising 2θ:
- (0 2 2), 3.159 Å, 2θ = 28.25°, I = 37
- (4 2 0), 2.982 Å, 2θ = 29.96°, I = 35
- (2 2 -2), 2.968 Å, 2θ = 30.11°, I = 64
- (1 3 -1), 2.887 Å, 2θ = 30.98°, I = 38
- (1 3 1), 2.867 Å, 2θ = 31.19°, I = 39
- (5 1 -1), 2.828 Å, 2θ = 31.63°, I = 100
- (4 0 2), 2.798 Å, 2θ = 31.98°, I = 56
- (4 2 1), 2.780 Å, 2θ = 32.19°, I = 43
- (1 1 -3), 2.716 Å, 2θ = 32.98°, I = 70
- (3 3 1), 2.527 Å, 2θ = 35.53°, I = 50
- (1 3 -2), 2.499 Å, 2θ = 35.93°, I = 45
- (5 5 -1), 1.582 Å, 2θ = 58.35°, I = 34

Structural model:
abc: 15.5195 9.3458 8.5873
angles: 90.00 93.16 90.00
Space group C2/m (No. 12)
Asymmetric unit:
Pm (0.0567, 0.0000, 0.3236) x4
Pm (0.0816, 0.5000, 0.8848) x4
Pm (0.1243, 0.1948, 0.6639) x8
Pm (0.1484, 0.3148, 0.2350) x8
Dy (0.0000, 0.5000, 0.5000) x2
Dy (0.1886, 0.0000, 0.0109) x4
Dy (0.2320, 0.5000, 0.5822) x4
In (0.0000, 0.1761, 0.0000) x4